No. 1
Structure and computed X-ray powder pattern of Y5CdPb6 (DFT lattice parameters and positions (PBE); Cu Kα (weighted mean of Kα1 and Kα2)).

Most intense lines, 2θ from 10° to 90°, low angle first:
Position (°2θ)	I_rel
25.1	13
32.2	100
35.1	19
36.6	18
40.2	14
51.6	13
55.5	11
61.1	14
63.2	15
67.4	11

Atomic structure:
```
Y5CdPb6
1.0
8.0570 -4.4858 0.0000
8.0570 4.4858 0.0000
-1.4884 0.0000 4.6766
Y Cd Pb
5 1 6
Direct
0.0000 0.0000 0.0000
0.1699 0.1699 0.6694
0.3564 0.3564 0.3560
0.6436 0.6436 0.6440
0.8301 0.8301 0.3306
0.5000 0.5000 0.0000
0.0763 0.5825 0.8295
0.2376 0.7624 0.5000
0.4175 0.9237 0.1705
0.5825 0.0763 0.8295
0.7624 0.2376 0.5000
0.9237 0.4175 0.1705
```


No. 2
Structure and computed X-ray powder pattern of K8VS6 (DFT lattice parameters and positions (PBE); Cu Kα (weighted mean of Kα1 and Kα2)).

Most intense lines, 2θ from 10° to 90°, low angle first:
Position (°2θ)	I_rel
12.3	41
13.1	32
21.0	42
24.0	30
24.7	100
28.3	27
32.9	30
33.8	39
35.3	79
42.3	28

Atomic structure:
```
K8VS6
1.0
8.5513 0.0000 0.0000
0.0000 8.9157 0.0000
0.0000 0.0000 13.4938
K V S
16 2 12
Direct
0.0000 0.1230 0.0000
0.0000 0.1643 0.4325
0.1962 0.6120 0.1252
0.2196 0.9090 0.7467
0.2370 0.5452 0.8554
0.2630 0.4548 0.3554
0.2804 0.0910 0.2467
0.3038 0.3880 0.6252
0.5000 0.8357 0.9325
0.5000 0.8770 0.5000
0.6962 0.3880 0.6252
0.7196 0.0910 0.2467
0.7370 0.4548 0.3554
0.7630 0.5452 0.8554
0.7804 0.9090 0.7467
0.8038 0.6120 0.1252
0.0000 0.7466 0.4483
0.5000 0.2534 0.9483
0.0000 0.3169 0.2137
0.0000 0.5106 0.5148
0.0000 0.7682 0.9458
0.0000 0.9092 0.5720
0.2087 0.7883 0.3518
0.2913 0.2117 0.8518
0.5000 0.0908 0.0720
0.5000 0.2318 0.4458
0.5000 0.4894 0.0148
0.5000 0.6831 0.7137
0.7087 0.2117 0.8518
0.7913 0.7883 0.3518
```


No. 3
Structure and computed X-ray powder pattern of SmTmSc3 (DFT lattice parameters and positions (PBE); Cu Kα (weighted mean of Kα1 and Kα2)).

Most intense lines, 2θ from 10° to 90°, low angle first:
Position (°2θ)	I_rel
15.8	44
22.9	21
26.5	25
30.1	26
33.4	37
34.4	100
34.5	53
45.5	16
60.4	19
64.5	12

Atomic structure:
```
SmTmSc3
1.0
5.9377 0.0000 0.0000
0.0000 5.3703 0.0000
-2.9345 0.0000 8.6155
Sm Tm Sc
2 2 6
Direct
0.1414 0.2500 0.1050
0.8586 0.7500 0.8950
0.0703 0.7500 0.3121
0.9297 0.2500 0.6879
0.2691 0.7500 0.6987
0.3395 0.2500 0.5058
0.4736 0.7500 0.1032
0.5264 0.2500 0.8968
0.6605 0.7500 0.4942
0.7309 0.2500 0.3013
```